Record 1
Diffraction record for AcMgAl2Zn2. The PXRD pattern is computed, not measured: it uses a DFT-relaxed cell (PBE, Alexandria) and a wavelength of 1.5418 Å.

Atomic structure:
a = 4.4850 Å, b = 4.4850 Å, c = 7.5035 Å
α = 90.00°, β = 90.00°, γ = 120.00°
Space group P-3m1 (No. 164)
Inequivalent atoms, fractional coordinates:
Ac  0.0000  0.0000  0.0000 [1 per cell]
Mg  0.0000  0.0000  0.5000 [1 per cell]
Al  0.3333  0.6667  0.2962 [2 per cell]
Zn  0.3333  0.6667  0.6989 [2 per cell]

Peak list (8 most intense, 2θ from 10° to 80°, most intense first)
2θ = 33.2°, rel. 100
2θ = 25.8°, rel. 96
2θ = 40.2°, rel. 54
2θ = 64.7°, rel. 28
2θ = 11.8°, rel. 28
2θ = 55.0°, rel. 27
2θ = 53.1°, rel. 27
2θ = 22.9°, rel. 25

Record 2
Diffraction record for LaTb2I8. The PXRD pattern is computed, not measured: it uses a DFT-relaxed cell (PBE, Alexandria) and a wavelength of 1.5418 Å.

Atomic structure:
a = 15.2825 Å, b = 11.3667 Å, c = 7.4219 Å
α = 90.00°, β = 92.60°, γ = 90.00°
Space group C2/m (No. 12)
Inequivalent atoms, fractional coordinates:
La  0.0000  0.0000  0.0000 [2 per cell]
Tb  0.1832  0.0000  0.6479 [4 per cell]
I  0.0816  0.2056  0.7597 [8 per cell]
I  0.1385  0.5000  0.2285 [4 per cell]
I  0.1818  0.0000  0.2466 [4 per cell]

Peak list (8 most intense, 2θ from 10° to 80°, most intense first)
2θ = 22.6°, rel. 100
2θ = 15.6°, rel. 76
2θ = 31.5°, rel. 75
2θ = 30.7°, rel. 59
2θ = 24.0°, rel. 53
2θ = 19.5°, rel. 49
2θ = 38.8°, rel. 48
2θ = 23.0°, rel. 47

Record 3
Diffraction record for CaCd2Ag2. The PXRD pattern is computed, not measured: it uses a DFT-relaxed cell (PBE, Alexandria) and a wavelength of 1.5418 Å.

Atomic structure:
a = 4.9469 Å, b = 6.5741 Å, c = 7.0097 Å
α = 90.00°, β = 90.00°, γ = 90.00°
Space group Immm (No. 71)
Inequivalent atoms, fractional coordinates:
Ca  0.0000  0.0000  0.0000 [2 per cell]
Cd  0.0000  0.5000  0.1993 [4 per cell]
Ag  0.0000  0.2069  0.5000 [4 per cell]

Peak list (8 most intense, 2θ from 10° to 80°, most intense first)
2θ = 35.2°, rel. 100
2θ = 34.2°, rel. 95
2θ = 36.3°, rel. 60
2θ = 37.5°, rel. 50
2θ = 42.8°, rel. 42
2θ = 53.2°, rel. 35
2θ = 45.3°, rel. 32
2θ = 22.5°, rel. 27

Record 4
Diffraction record for MgZr4PaN8. The PXRD pattern is computed, not measured: it uses a DFT-relaxed cell (PBE, Alexandria) and a wavelength of 1.5418 Å.

Atomic structure:
a = 6.5986 Å, b = 6.5986 Å, c = 15.5749 Å
α = 90.00°, β = 90.00°, γ = 120.00°
Space group R3m (No. 160, hexagonal axes)
Inequivalent atoms, fractional coordinates:
Mg  0.0000  0.0000  0.0000 [3 per cell]
Zr  0.0000  0.0000  0.6250 [3 per cell]
Zr  0.9999  0.5000  0.5041 [9 per cell]
Pa  0.0000  0.0000  0.3925 [3 per cell]
N  0.0000  0.0000  0.2467 [3 per cell]
N  0.0000  0.0000  0.7596 [3 per cell]
N  0.0329  0.5164  0.7511 [9 per cell]
N  0.1695  0.3390  0.5731 [9 per cell]

Peak list (8 most intense, 2θ from 10° to 80°, most intense first)
2θ = 31.8°, rel. 100
2θ = 27.7°, rel. 82
2θ = 32.1°, rel. 80
2θ = 32.7°, rel. 60
2θ = 55.7°, rel. 41
2θ = 27.0°, rel. 39
2θ = 48.2°, rel. 37
2θ = 51.5°, rel. 36

Record 5
Diffraction record for RbLiTl2Br8. The PXRD pattern is computed, not measured: it uses a DFT-relaxed cell (PBE, Alexandria) and a wavelength of 1.5418 Å.

Atomic structure:
a = 6.9478 Å, b = 6.9478 Å, c = 31.9321 Å
α = 90.00°, β = 90.00°, γ = 120.00°
Space group R32 (No. 155, hexagonal axes)
Inequivalent atoms, fractional coordinates:
Rb  0.0000  0.0000  0.0000 [3 per cell]
Li  0.0000  0.0000  0.5000 [3 per cell]
Tl  0.0000  0.0000  0.2486 [6 per cell]
Br  0.0000  0.0000  0.3307 [6 per cell]
Br  0.0040  0.3662  0.2262 [18 per cell]

Peak list (8 most intense, 2θ from 10° to 80°, most intense first)
2θ = 15.7°, rel. 100
2θ = 25.6°, rel. 96
2θ = 18.5°, rel. 86
2θ = 27.0°, rel. 74
2θ = 45.2°, rel. 72
2θ = 42.8°, rel. 72
2θ = 31.8°, rel. 64
2θ = 25.1°, rel. 58

Record 6
Diffraction record for Pm12YMg3. The PXRD pattern is computed, not measured: it uses a DFT-relaxed cell (PBE, Alexandria) and a wavelength of 1.5418 Å.

Atomic structure:
a = 5.0284 Å, b = 5.0284 Å, c = 20.2941 Å
α = 90.00°, β = 90.00°, γ = 90.00°
Space group P4/mmm (No. 123)
Inequivalent atoms, fractional coordinates:
Pm  0.0000  0.0000  0.0000 [1 per cell]
Pm  0.0000  0.0000  0.2464 [2 per cell]
Pm  0.0000  0.0000  0.5000 [1 per cell]
Pm  0.0000  0.5000  0.1233 [4 per cell]
Pm  0.0000  0.5000  0.3714 [4 per cell]
Y  0.5000  0.5000  0.5000 [1 per cell]
Mg  0.5000  0.5000  0.0000 [1 per cell]
Mg  0.5000  0.5000  0.2455 [2 per cell]

Peak list (8 most intense, 2θ from 10° to 80°, most intense first)
2θ = 30.7°, rel. 100
2θ = 35.7°, rel. 34
2θ = 61.1°, rel. 28
2θ = 51.2°, rel. 24
2θ = 35.4°, rel. 17
2θ = 60.6°, rel. 14
2θ = 63.9°, rel. 12
2θ = 51.4°, rel. 12

Record 7
Diffraction record for PaBeZn. The PXRD pattern is computed, not measured: it uses a DFT-relaxed cell (PBE, Alexandria) and a wavelength of 1.5418 Å.

Atomic structure:
a = 2.9034 Å, b = 2.9034 Å, c = 11.5967 Å
α = 90.00°, β = 90.00°, γ = 90.00°
Space group I4mm (No. 107)
Inequivalent atoms, fractional coordinates:
Pa  0.0000  0.0000  0.0000 [2 per cell]
Be  0.0000  0.0000  0.6794 [2 per cell]
Zn  0.0000  0.0000  0.2912 [2 per cell]

Peak list (8 most intense, 2θ from 10° to 80°, most intense first)
2θ = 38.8°, rel. 100
2θ = 31.8°, rel. 95
2θ = 15.3°, rel. 74
2θ = 30.8°, rel. 40
2θ = 44.1°, rel. 39
2θ = 54.8°, rel. 32
2θ = 47.0°, rel. 30
2θ = 77.6°, rel. 27

Record 8
Diffraction record for LiTm2Ga4Cu3. The PXRD pattern is computed, not measured: it uses a DFT-relaxed cell (PBE, Alexandria) and a wavelength of 1.5418 Å.

Atomic structure:
a = 4.0055 Å, b = 4.0055 Å, c = 10.7263 Å
α = 90.00°, β = 90.00°, γ = 90.00°
Space group P-4m2 (No. 115)
Inequivalent atoms, fractional coordinates:
Li  0.0000  0.0000  0.0000 [1 per cell]
Tm  0.0000  0.5000  0.7405 [2 per cell]
Ga  0.0000  0.0000  0.5000 [1 per cell]
Ga  0.0000  0.5000  0.1410 [2 per cell]
Ga  0.5000  0.5000  0.5000 [1 per cell]
Cu  0.0000  0.5000  0.3634 [2 per cell]
Cu  0.5000  0.5000  0.0000 [1 per cell]

Peak list (8 most intense, 2θ from 10° to 80°, most intense first)
2θ = 35.9°, rel. 100
2θ = 33.6°, rel. 74
2θ = 45.3°, rel. 50
2θ = 48.1°, rel. 41
2θ = 57.5°, rel. 31
2θ = 31.6°, rel. 31
2θ = 68.2°, rel. 28
2θ = 77.4°, rel. 21